(1)
Diffraction record for NaTcPt. The PXRD pattern is theoretical, not measured: it uses the GGA-PBE geometry in Alexandria and CuKα.
Neutral-atom scattering factors, no anomalous dispersion.

Structure:
a = 4.8988 Å, b = 4.8988 Å, c = 6.0832 Å
α = 104.07°, β = 104.07°, γ = 47.96°
Fractional positions:
1 Na 0.0000 0.0000 0.0000
2 Na 0.6641 0.6641 0.8761
3 Tc 0.3017 0.3017 0.6027
4 Tc 0.6870 0.6870 0.4001
5 Pt 0.3498 0.3498 0.1967
6 Pt 0.9980 0.9980 0.4980

Largest 6 diffraction maxima, by angle, 5 to 70 degrees two-theta:
2θ/deg, I (rel.)
15.11, 100.0
30.46, 24.0
37.27, 84.1
38.61, 80.4
45.06, 28.1
45.56, 28.7

(2)
Diffraction record for NaTcPt. The PXRD pattern is theoretical, not measured: it uses the GGA-PBE geometry in Alexandria and CuKα.
Neutral-atom scattering factors, no anomalous dispersion.

Structure:
a = 4.8938 Å, b = 2.7591 Å, c = 7.7506 Å
α = 90.00°, β = 103.86°, γ = 90.00°
Fractional positions:
1 Na 0.0000 0.0000 0.0000
2 Na 0.5000 0.5000 0.0000
3 Tc 0.1843 0.0000 0.6223
4 Tc 0.8157 0.0000 0.3777
5 Pt 0.2995 0.5000 0.3307
6 Pt 0.7005 0.5000 0.6693

Largest 6 diffraction maxima, by angle, 5 to 70 degrees two-theta:
2θ/deg, I (rel.)
11.76, 100.0
35.80, 28.6
38.17, 39.4
39.72, 20.0
42.35, 26.1
47.52, 24.5

(3)
Diffraction record for NaTe8Pt4. The PXRD pattern is theoretical, not measured: it uses the GGA-PBE geometry in Alexandria and CuKα.
Neutral-atom scattering factors, no anomalous dispersion.

Structure:
a = 8.8731 Å, b = 8.8731 Å, c = 8.8731 Å
α = 54.00°, β = 54.00°, γ = 54.00°
Fractional positions:
1 Na 0.0000 0.0000 0.0000
2 Te 0.2243 0.7306 0.7306
3 Te 0.2285 0.2285 0.2285
4 Te 0.2694 0.2694 0.7757
5 Te 0.2694 0.7757 0.2694
6 Te 0.7306 0.2243 0.7306
7 Te 0.7306 0.7306 0.2243
8 Te 0.7715 0.7715 0.7715
9 Te 0.7757 0.2694 0.2694
10 Pt 0.0000 0.0000 0.5000
11 Pt 0.0000 0.5000 0.0000
12 Pt 0.5000 0.0000 0.0000
13 Pt 0.5000 0.5000 0.5000

Largest 6 diffraction maxima, by angle, 5 to 70 degrees two-theta:
2θ/deg, I (rel.)
11.71, 100.0
30.08, 70.3
37.91, 33.6
41.04, 17.8
45.01, 27.4
46.67, 20.1

Question: What is the formula in the first record?
Answer: NaTcPt